The following is a calculated powder XRD pattern of Gd2CoB3. It was derived from a structure optimized by DFT (GGA-PBE), using Cu Ka.
No peak broadening, texture or thermal motion is included.

Principal peaks in the range 10° ≤ 2θ ≤ 90°, in order of rising 2θ:
4.101 Å, I 25, (0 0 2); 2.942 Å, I 52, (1 0 0); 2.391 Å, I 100, (1 0 2); 2.051 Å, I 12, (0 0 4); 1.699 Å, I 22, (1 1 0); 1.682 Å, I 18, (1 0 4); 1.569 Å, I 11, (1 1 2); 1.385 Å, I 17, (2 0 2); 1.308 Å, I 16, (1 1 4); 1.240 Å, I 10, (1 0 6)

Cell and atoms:
Lattice parameters (Å, degrees): 3.3972 3.3972 8.2025 90.00 90.00 120.00
Atoms (fractional coordinates):
Gd 0.0000 0.0000 0.2359
Gd 0.0000 0.0000 0.7641
Co 0.3333 0.6667 0.5000
B 0.3333 0.6667 0.0000
B 0.6667 0.3333 0.0000
B 0.6667 0.3333 0.5000